Record 1
Computed XRD peak list of Zr11Os4 for Cu Ka, from DFT lattice parameters and positions (GGA-PBE).
Neutral-atom scattering factors, no anomalous dispersion.

Structural model:
Lattice parameters (Å, degrees): 9.5513 9.5513 9.5513 60.00 60.00 60.00
Fractional positions:
Zr1 0.1502 0.6166 0.6166
Zr2 0.1633 0.1633 0.1633
Zr3 0.1633 0.1633 0.5101
Zr4 0.1633 0.5101 0.1633
Zr5 0.2006 0.2006 0.7994
Zr6 0.2006 0.7994 0.2006
Zr7 0.2006 0.7994 0.7994
Zr8 0.3834 0.3834 0.3834
Zr9 0.3834 0.3834 0.8498
Zr10 0.3834 0.8498 0.3834
Zr11 0.4899 0.8367 0.8367
Zr12 0.5101 0.1633 0.1633
Zr13 0.6166 0.1502 0.6166
Zr14 0.6166 0.6166 0.1502
Zr15 0.6166 0.6166 0.6166
Zr16 0.7994 0.2006 0.2006
Zr17 0.7994 0.2006 0.7994
Zr18 0.7994 0.7994 0.2006
Zr19 0.8367 0.4899 0.8367
Zr20 0.8367 0.8367 0.4899
Zr21 0.8367 0.8367 0.8367
Zr22 0.8498 0.3834 0.3834
Os1 0.0000 0.0000 0.0000
Os2 0.0000 0.0000 0.5000
Os3 0.0000 0.5000 0.0000
Os4 0.0000 0.5000 0.5000
Os5 0.5000 0.0000 0.0000
Os6 0.5000 0.0000 0.5000
Os7 0.5000 0.5000 0.0000
Os8 0.5000 0.5000 0.5000

Largest 10 diffraction maxima, in order of falling intensity, 10° ≤ 2θ ≤ 80°:
Position (°2θ)  I (rel.)
37.67  100
44.49  33
34.50  30
22.81  29
68.00  19
72.76  14
54.33  10
26.39  10
59.68  9
61.39  8

=====

Record 2
Computed XRD peak list of Er2Ni5Ge4 for Cu Ka, from DFT lattice parameters and positions (GGA-PBE).
Neutral-atom scattering factors, no anomalous dispersion.

Structural model:
Lattice parameters (Å, degrees): 8.4279 7.5198 5.3609 79.82 61.42 38.76
Fractional positions:
Er1 0.1376 0.1376 0.8624
Er2 0.8624 0.8624 0.1376
Ni1 0.0000 0.0000 0.5000
Ni2 0.2500 0.2500 0.2500
Ni3 0.5000 0.5000 0.0000
Ni4 0.5000 0.5000 0.5000
Ni5 0.7500 0.7500 0.7500
Ge1 0.2164 0.5220 0.4780
Ge2 0.4780 0.7836 0.2164
Ge3 0.5220 0.2164 0.7836
Ge4 0.7836 0.4780 0.5220

Largest 10 diffraction maxima, in order of falling intensity, 10° ≤ 2θ ≤ 80°:
Position (°2θ)  I (rel.)
38.70  100
42.52  66
34.05  46
38.90  40
31.92  37
27.07  31
63.44  24
46.83  24
57.32  22
52.04  21

=====

Record 3
Computed XRD peak list of LaCeIN2 for Cu Ka, from DFT lattice parameters and positions (GGA-PBE).
Neutral-atom scattering factors, no anomalous dispersion.

Structural model:
Lattice parameters (Å, degrees): 7.5126 4.2500 8.2361 90.00 106.24 90.00
Fractional positions:
La1 0.1571 0.2500 0.4194
La2 0.8429 0.7500 0.5806
Ce1 0.1331 0.2500 0.9052
Ce2 0.8669 0.7500 0.0948
I1 0.4586 0.7500 0.7490
I2 0.5414 0.2500 0.2510
N1 0.0050 0.7500 0.3644
N2 0.0112 0.7500 0.8882
N3 0.9888 0.2500 0.1118
N4 0.9950 0.2500 0.6356

Largest 10 diffraction maxima, in order of falling intensity, 10° ≤ 2θ ≤ 80°:
Position (°2θ)  I (rel.)
30.86  100
28.62  83
32.56  82
28.45  81
24.31  56
43.97  36
42.54  34
52.08  31
51.98  30
54.14  29

=====

Record 4
Computed XRD peak list of Fe2NiB for Cu Ka, from DFT lattice parameters and positions (GGA-PBE).
Neutral-atom scattering factors, no anomalous dispersion.

Structural model:
Lattice parameters (Å, degrees): 6.3891 6.3891 6.3891 96.21 96.21 141.59
Fractional positions:
Fe1 0.0179 0.6272 0.6662
Fe2 0.1398 0.3312 0.9742
Fe3 0.3570 0.1656 0.0258
Fe4 0.3728 0.0390 0.3907
Fe5 0.6483 0.9821 0.6093
Fe6 0.6688 0.6430 0.8086
Fe7 0.8344 0.8602 0.1914
Fe8 0.9610 0.3517 0.3338
Ni1 0.0820 0.0414 0.6074
Ni2 0.4340 0.4746 0.3926
Ni3 0.5254 0.9180 0.9594
Ni4 0.9586 0.5660 0.0406
B1 0.2184 0.4710 0.6657
B2 0.4473 0.7816 0.2525
B3 0.5290 0.1948 0.7475
B4 0.8052 0.5527 0.3343

Largest 10 diffraction maxima, in order of falling intensity, 10° ≤ 2θ ≤ 80°:
Position (°2θ)  I (rel.)
43.90  100
49.07  88
45.71  49
38.21  34
47.66  29
79.46  26
45.08  25
55.41  19
31.67  19
79.87  16

=====

Record 5
Computed XRD peak list of Li6Tl3Au for Cu Ka, from DFT lattice parameters and positions (GGA-PBE).
Neutral-atom scattering factors, no anomalous dispersion.

Structural model:
Lattice parameters (Å, degrees): 8.3377 4.6682 10.0158 90.00 104.60 90.00
Fractional positions:
Li1 0.0488 0.2500 0.4041
Li2 0.1649 0.7500 0.1983
Li3 0.2853 0.2500 0.0008
Li4 0.3558 0.2500 0.2979
Li5 0.3654 0.7500 0.8250
Li6 0.4486 0.2500 0.6118
Li7 0.5514 0.7500 0.3882
Li8 0.6346 0.2500 0.1750
Li9 0.6442 0.7500 0.7021
Li10 0.7147 0.7500 0.9992
Li11 0.8351 0.2500 0.8017
Li12 0.9512 0.7500 0.5959
Tl1 0.0363 0.7500 0.8982
Tl2 0.1512 0.2500 0.7022
Tl3 0.2632 0.7500 0.4930
Tl4 0.7368 0.2500 0.5070
Tl5 0.8488 0.7500 0.2978
Tl6 0.9637 0.2500 0.1018
Au1 0.4416 0.7500 0.1138
Au2 0.5584 0.2500 0.8862

Largest 10 diffraction maxima, in order of falling intensity, 10° ≤ 2θ ≤ 80°:
Position (°2θ)  I (rel.)
26.89  100
25.97  55
37.68  49
37.78  47
38.57  23
47.09  23
38.20  21
69.23  16
55.41  15
21.12  13

=====

Record 6
Computed XRD peak list of AlSiCl for Cu Ka, from DFT lattice parameters and positions (GGA-PBE).
Neutral-atom scattering factors, no anomalous dispersion.

Structural model:
Lattice parameters (Å, degrees): 3.9288 9.6836 6.8006 90.00 90.00 90.00
Fractional positions:
Al1 0.2500 0.2164 0.0000
Al2 0.2500 0.2836 0.5000
Al3 0.7500 0.7164 0.5000
Al4 0.7500 0.7836 0.0000
Si1 0.2500 0.0688 0.3027
Si2 0.2500 0.4312 0.8027
Si3 0.7500 0.5688 0.8027
Si4 0.7500 0.9312 0.3027
Cl1 0.2500 0.6377 0.3205
Cl2 0.2500 0.8624 0.8205
Cl3 0.7500 0.1376 0.8205
Cl4 0.7500 0.3624 0.3205

Largest 10 diffraction maxima, in order of falling intensity, 10° ≤ 2θ ≤ 80°:
Position (°2θ)  I (rel.)
32.16  100
30.66  36
50.14  32
26.21  31
36.15  27
46.02  21
46.21  19
52.69  15
53.92  13
45.08  11

=====

Record 7
Computed XRD peak list of Dy6InIr for Cu Ka, from DFT lattice parameters and positions (GGA-PBE).
Neutral-atom scattering factors, no anomalous dispersion.

Structural model:
Lattice parameters (Å, degrees): 6.9379 6.9521 7.4295 90.15 117.65 119.90
Fractional positions:
Dy1 0.0425 0.0795 0.2536
Dy2 0.2901 0.7107 0.2531
Dy3 0.3244 0.5361 0.7470
Dy4 0.6756 0.4639 0.2530
Dy5 0.7099 0.2893 0.7469
Dy6 0.9575 0.9205 0.7464
In1 0.5000 0.0000 0.0000
Ir1 0.5000 0.5000 0.5000

Largest 10 diffraction maxima, in order of falling intensity, 10° ≤ 2θ ≤ 80°:
Position (°2θ)  I (rel.)
29.37  100
38.67  47
24.02  27
45.18  26
29.47  24
31.21  21
17.50  18
28.48  16
15.46  15
50.98  15